The following is a simulated powder X-ray diffraction pattern of Cs3CdPb4. It was derived from the GGA-PBE geometry in Alexandria, using Cu Kα X-rays.
Peak positions follow from Bragg's law for the DFT cell and can differ from measured ones.

Most intense lines, 2θ = 10–80°, sorted by position:
Position (°2θ), intensity
12.1, 90.3
13.2, 49.8
14.1, 37.6
26.9, 48.7
28.9, 43.4
29.6, 100.0
30.1, 89.9
35.1, 45.0
46.3, 37.3
52.6, 36.8

Crystal structure
a = 7.523 Å, b = 14.578 Å, c = 6.975 Å
α = 90.00°, β = 90.00°, γ = 90.00°
Element x y z (fractional)
Cs 0.250 0.006 0.184
Cs 0.250 0.250 0.549
Cs 0.250 0.494 0.184
Cs 0.750 0.506 0.816
Cs 0.750 0.750 0.451
Cs 0.750 0.994 0.816
Cd 0.250 0.750 0.299
Cd 0.750 0.250 0.701
Pb 0.007 0.250 0.041
Pb 0.250 0.640 0.688
Pb 0.250 0.860 0.688
Pb 0.493 0.250 0.041
Pb 0.507 0.750 0.959
Pb 0.750 0.140 0.312
Pb 0.750 0.360 0.312
Pb 0.993 0.750 0.959

---

The following is a simulated powder X-ray diffraction pattern of Pm12SmHo7. It was derived from the GGA-PBE geometry in Alexandria, using Cu Kα X-rays.
Peak positions follow from Bragg's law for the DFT cell and can differ from measured ones.

Most intense lines, 2θ = 10–80°, sorted by position:
Position (°2θ), intensity
28.7, 37.3
31.1, 100.0
31.7, 73.6
33.9, 36.2
34.5, 14.0
48.5, 18.6
54.9, 15.7
56.1, 25.8
57.5, 14.0
60.4, 10.3

Crystal structure
a = 8.839 Å, b = 8.839 Å, c = 8.839 Å
α = 98.35°, β = 98.35°, γ = 98.35°
Element x y z (fractional)
Pm 0.000 0.262 0.738
Pm 0.000 0.738 0.262
Pm 0.143 0.143 0.409
Pm 0.143 0.409 0.143
Pm 0.262 0.000 0.738
Pm 0.262 0.738 0.000
Pm 0.409 0.143 0.143
Pm 0.591 0.857 0.857
Pm 0.738 0.000 0.262
Pm 0.738 0.262 0.000
Pm 0.857 0.591 0.857
Pm 0.857 0.857 0.591
Sm 0.500 0.500 0.500
Ho 0.000 0.000 0.000
Ho 0.161 0.596 0.596
Ho 0.404 0.404 0.839
Ho 0.404 0.839 0.404
Ho 0.596 0.161 0.596
Ho 0.596 0.596 0.161
Ho 0.839 0.404 0.404